(1)
Simulated X-ray diffraction stick pattern of AcP2SeO8 for CuKα, from a structure optimized by DFT (PBE).

```
data_AcP2SeO8
_symmetry_space_group_name_H-M 'R 3 2'
_symmetry_Int_Tables_number 155
_symmetry_space_group_name_Hall 'R 3 2"'
_cell_length_a 4.8353
_cell_length_b 4.8353
_cell_length_c 22.8181
_cell_angle_alpha 90.00
_cell_angle_beta 90.00
_cell_angle_gamma 120.00
loop_
_atom_site_label
_atom_site_fract_x
_atom_site_fract_y
_atom_site_fract_z
Ac1 0.0000 0.0000 0.0000
P1 0.0000 0.0000 0.2501
Se1 0.0000 0.0000 0.5000
O1 0.0000 0.0000 0.3186
O2 0.0002 0.3093 0.2315
```

Peak list (8 most intense, 5° ≤ 2θ ≤ 70°, by angle)
hkl 0 0 3, d = 7.606 Å, 11.63°, rel. 28; hkl 0 1 2, d = 3.931 Å, 22.62°, rel. 43; hkl 1 0 4, d = 3.376 Å, 26.40°, rel. 100; hkl 1 1 0, d = 2.418 Å, 37.19°, rel. 38; hkl 0 1 8, d = 2.357 Å, 38.18°, rel. 32; hkl 1 1 6, d = 2.040 Å, 44.40°, rel. 35; hkl 0 2 4, d = 1.966 Å, 46.19°, rel. 19; hkl 1 1 12, d = 1.495 Å, 62.10°, rel. 20

(2)
Simulated X-ray diffraction stick pattern of AcTmPO6 for CuKα, from a structure optimized by DFT (PBE).

```
data_AcTmPO6
_symmetry_space_group_name_H-M 'P 3 1 2'
_symmetry_Int_Tables_number 149
_symmetry_space_group_name_Hall 'P 3 2'
_cell_length_a 5.3247
_cell_length_b 5.3247
_cell_length_c 5.1435
_cell_angle_alpha 90.00
_cell_angle_beta 90.00
_cell_angle_gamma 120.00
loop_
_atom_site_label
_atom_site_fract_x
_atom_site_fract_y
_atom_site_fract_z
Ac1 0.0000 0.0000 0.0000
Tm1 0.3333 0.6667 0.5000
P1 0.6667 0.3333 0.5000
O1 0.4041 0.0660 0.6950
```

Peak list (8 most intense, 5° ≤ 2θ ≤ 70°, by angle)
hkl 1 0 0, d = 4.611 Å, 19.25°, rel. 16; hkl 1 0 1, d = 3.433 Å, 25.95°, rel. 100; hkl 1 1 0, d = 2.662 Å, 33.66°, rel. 31; hkl 1 0 2, d = 2.246 Å, 40.15°, rel. 10; hkl 2 0 1, d = 2.104 Å, 42.99°, rel. 26; hkl 2 -1 2, d = 1.850 Å, 49.26°, rel. 30; hkl 3 -1 1, d = 1.651 Å, 55.68°, rel. 25; hkl 1 0 3, d = 1.607 Å, 57.33°, rel. 11

(3)
Simulated X-ray diffraction stick pattern of Ac2YPO8 for CuKα, from a structure optimized by DFT (PBE).

```
data_Ac2YPO8
_symmetry_space_group_name_H-M 'P -3 m 1'
_symmetry_Int_Tables_number 164
_symmetry_space_group_name_Hall '-P 3 2"'
_cell_length_a 5.5391
_cell_length_b 5.5391
_cell_length_c 6.1593
_cell_angle_alpha 90.00
_cell_angle_beta 90.00
_cell_angle_gamma 120.00
loop_
_atom_site_label
_atom_site_fract_x
_atom_site_fract_y
_atom_site_fract_z
Ac1 0.3333 0.6667 0.3579
Y1 0.0000 0.0000 0.0000
P1 0.0000 0.0000 0.5000
O1 0.1448 0.2895 0.6680
O2 0.3333 0.6667 0.0060
```

Peak list (8 most intense, 5° ≤ 2θ ≤ 70°, by angle)
hkl 0 0 1, d = 6.159 Å, 14.38°, rel. 27; hkl 0 1 1, d = 3.785 Å, 23.51°, rel. 100; hkl 1 1 0, d = 2.770 Å, 32.32°, rel. 70; hkl 1 0 2, d = 2.592 Å, 34.61°, rel. 52; hkl 2 0 1, d = 2.235 Å, 40.35°, rel. 42; hkl 0 2 2, d = 1.892 Å, 48.08°, rel. 32; hkl 1 2 1, d = 1.739 Å, 52.62°, rel. 24; hkl 2 1 2, d = 1.562 Å, 59.13°, rel. 23

(4)
Simulated X-ray diffraction stick pattern of AcPaO4 for CuKα, from a structure optimized by DFT (PBE).

```
data_AcPaO4
_symmetry_space_group_name_H-M 'R -3 m'
_symmetry_Int_Tables_number 166
_symmetry_space_group_name_Hall '-R 3 2"'
_cell_length_a 4.0094
_cell_length_b 4.0094
_cell_length_c 19.4722
_cell_angle_alpha 90.00
_cell_angle_beta 90.00
_cell_angle_gamma 120.00
loop_
_atom_site_label
_atom_site_fract_x
_atom_site_fract_y
_atom_site_fract_z
Ac1 0.0000 0.0000 0.0000
Pa1 0.0000 0.0000 0.5000
O1 0.0000 0.0000 0.1361
O2 0.0000 0.0000 0.3880
```

Peak list (8 most intense, 5° ≤ 2θ ≤ 70°, by angle)
hkl 0 1 2, d = 3.270 Å, 27.27°, rel. 100; hkl 0 0 6, d = 3.245 Å, 27.48°, rel. 32; hkl 1 0 4, d = 2.827 Å, 31.65°, rel. 50; hkl 1 1 0, d = 2.005 Å, 45.23°, rel. 34; hkl 0 1 8, d = 1.993 Å, 45.51°, rel. 32; hkl 2 0 2, d = 1.709 Å, 53.62°, rel. 16; hkl 1 1 6, d = 1.706 Å, 53.75°, rel. 32; hkl 1 0 10, d = 1.698 Å, 53.99°, rel. 16

(5)
Simulated X-ray diffraction stick pattern of Ac3PaO7 for CuKα, from a structure optimized by DFT (PBE).

```
data_Ac3PaO7
_symmetry_space_group_name_H-M 'C m c m'
_symmetry_Int_Tables_number 63
_symmetry_space_group_name_Hall '-C 2c 2'
_cell_length_a 8.171
_cell_length_b 11.664
_cell_length_c 8.303
_cell_angle_alpha 90.00
_cell_angle_beta 90.00
_cell_angle_gamma 90.00
loop_
_atom_site_label
_atom_site_fract_x
_atom_site_fract_y
_atom_site_fract_z
Ac1 0.000 0.000 0.000
Ac2 0.235 0.264 0.250
Pa1 0.000 0.500 0.000
O1 0.000 0.129 0.750
O2 0.000 0.134 0.250
O3 0.000 0.426 0.250
O4 0.199 0.378 0.527
```

Peak list (8 most intense, 5° ≤ 2θ ≤ 70°, by angle)
hkl 0 2 2, d = 3.382 Å, 26.35°, rel. 100; hkl 2 2 0, d = 3.346 Å, 26.64°, rel. 98; hkl 2 0 2, d = 2.913 Å, 30.69°, rel. 79; hkl 0 0 4, d = 2.076 Å, 43.60°, rel. 17; hkl 2 4 2, d = 2.061 Å, 43.94°, rel. 60; hkl 2 2 4, d = 1.764 Å, 51.83°, rel. 33; hkl 0 6 2, d = 1.761 Å, 51.94°, rel. 15; hkl 4 2 2, d = 1.749 Å, 52.32°, rel. 30

(6)
Simulated X-ray diffraction stick pattern of Ac3Pa2O9 for CuKα, from a structure optimized by DFT (PBE).

```
data_Ac3Pa2O9
_symmetry_space_group_name_H-M 'I -4 m 2'
_symmetry_Int_Tables_number 119
_symmetry_space_group_name_Hall 'I -4 -2'
_cell_length_a 4.051
_cell_length_b 4.051
_cell_length_c 30.131
_cell_angle_alpha 90.00
_cell_angle_beta 90.00
_cell_angle_gamma 90.00
loop_
_atom_site_label
_atom_site_fract_x
_atom_site_fract_y
_atom_site_fract_z
Ac1 0.000 0.000 0.000
Ac2 0.000 0.000 0.407
Pa1 0.000 0.000 0.199
O1 0.000 0.500 0.052
O2 0.000 0.500 0.164
O3 0.000 0.500 0.250
O4 0.000 0.500 0.554
O5 0.000 0.500 0.677
```

Peak list (8 most intense, 5° ≤ 2θ ≤ 70°, by angle)
hkl 1 0 5, d = 3.362 Å, 26.51°, rel. 100; hkl 0 0 10, d = 3.013 Å, 29.65°, rel. 15; hkl 1 1 0, d = 2.864 Å, 31.23°, rel. 25; hkl 1 1 10, d = 2.076 Å, 43.60°, rel. 30; hkl 2 0 0, d = 2.025 Å, 44.75°, rel. 16; hkl 1 0 15, d = 1.800 Å, 50.73°, rel. 15; hkl 2 1 5, d = 1.735 Å, 52.77°, rel. 31; hkl 2 1 15, d = 1.345 Å, 69.93°, rel. 12